Structure and computed powder X-ray diffraction pattern of InCo2AsI (a cell relaxed with GGA-PBE; λ = 1.5418 Å (Cu Kα)).

Cell and atoms:
Cell: 4.657 4.657 5.800 Å, 90.00 90.00 90.00°
Space group P4/mmm (No. 123)
Unique sites:
In 0.000 0.000 0.000 x1
Co 0.000 0.500 0.500 x2
As 0.500 0.500 0.000 x1
I 0.500 0.500 0.500 x1

Principal peaks in the range 10 to 80 degrees two-theta, sorted by position:
| h k l | d/Å | intensity |
| --- | --- | --- |
| 1 0 1 | 3.631 | 92 |
| 1 1 0 | 3.293 | 50 |
| 0 0 2 | 2.900 | 93 |
| 1 1 1 | 2.864 | 69 |
| 2 0 0 | 2.328 | 100 |
| 1 1 2 | 2.176 | 32 |
| 2 1 1 | 1.960 | 32 |
| 2 0 2 | 1.816 | 92 |
| 2 2 0 | 1.646 | 33 |
| 2 2 2 | 1.432 | 41 |



Structure and computed powder X-ray diffraction pattern of Sr2CrFeH (a cell relaxed with GGA-PBE; λ = 1.5418 Å (Cu Kα)).

Cell and atoms:
Cell: 5.469 5.469 3.812 Å, 90.00 90.00 90.00°
Space group P4/mmm (No. 123)
Unique sites:
Sr 0.000 0.500 0.000 x2
Cr 0.000 0.000 0.500 x1
Fe 0.500 0.500 0.500 x1
H 0.500 0.500 0.000 x1

Principal peaks in the range 10 to 80 degrees two-theta, sorted by position:
| h k l | d/Å | intensity |
| --- | --- | --- |
| 2 0 0 | 2.735 | 52 |
| 1 1 1 | 2.715 | 100 |
| 2 2 0 | 1.934 | 18 |
| 0 0 2 | 1.906 | 9 |
| 3 1 1 | 1.575 | 36 |
| 2 0 2 | 1.564 | 18 |
| 2 2 2 | 1.357 | 11 |
| 4 2 0 | 1.223 | 8 |
| 3 3 1 | 1.221 | 8 |
| 1 1 3 | 1.207 | 7 |



Structure and computed powder X-ray diffraction pattern of Cd2HgSb2 (a cell relaxed with GGA-PBE; λ = 1.5418 Å (Cu Kα)).

Cell and atoms:
Cell: 4.535 4.535 14.131 Å, 90.00 90.00 90.00°
Space group I4/mmm (No. 139)
Unique sites:
Cd 0.000 0.000 0.098 x4
Hg 0.000 0.000 0.500 x2
Sb 0.000 0.500 0.250 x4

Principal peaks in the range 10 to 80 degrees two-theta, sorted by position:
| h k l | d/Å | intensity |
| --- | --- | --- |
| 0 0 4 | 3.533 | 10 |
| 1 0 3 | 3.267 | 34 |
| 1 1 2 | 2.920 | 100 |
| 1 0 5 | 2.399 | 40 |
| 2 0 0 | 2.268 | 41 |
| 2 1 3 | 1.863 | 14 |
| 2 1 5 | 1.648 | 25 |
| 2 2 0 | 1.603 | 14 |
| 3 1 2 | 1.405 | 21 |
| 1 1 10 | 1.293 | 13 |



Repeat the third record exactly.
Structure and computed powder X-ray diffraction pattern of Cd2HgSb2 (a cell relaxed with GGA-PBE; λ = 1.5418 Å (Cu Kα)).

Cell and atoms:
Cell: 4.535 4.535 14.131 Å, 90.00 90.00 90.00°
Space group I4/mmm (No. 139)
Unique sites:
Cd 0.000 0.000 0.098 x4
Hg 0.000 0.000 0.500 x2
Sb 0.000 0.500 0.250 x4

Principal peaks in the range 10 to 80 degrees two-theta, sorted by position:
| h k l | d/Å | intensity |
| --- | --- | --- |
| 0 0 4 | 3.533 | 10 |
| 1 0 3 | 3.267 | 34 |
| 1 1 2 | 2.920 | 100 |
| 1 0 5 | 2.399 | 40 |
| 2 0 0 | 2.268 | 41 |
| 2 1 3 | 1.863 | 14 |
| 2 1 5 | 1.648 | 25 |
| 2 2 0 | 1.603 | 14 |
| 3 1 2 | 1.405 | 21 |
| 1 1 10 | 1.293 | 13 |